Structure and simulated PXRD pattern of Li2NbMoRu (a cell relaxed with PBE; Cu Kα (weighted mean of Kα1 and Kα2)).
Kinematic intensities with the Lorentz-polarization factor, no thermal factor.

Most intense lines, 15° ≤ 2θ ≤ 90°, in order of rising 2θ:
hkl, two_theta, intensity
1 0 0, 20.35, 33
1 1 0, 28.94, 100
0 0 2, 39.42, 25
2 0 0, 41.39, 43
1 1 2, 49.64, 43
2 0 2, 58.48, 30

Crystal structure
a = 4.363 Å, b = 4.363 Å, c = 4.572 Å
α = 90.00°, β = 90.00°, γ = 90.00°
Space group P4/mmm (No. 123)
Unique sites:
Li (0.000, 0.500, 0.000)
Nb (0.000, 0.000, 0.500)
Mo (0.500, 0.500, 0.000)
Ru (0.500, 0.500, 0.500)